Simulated X-ray diffraction stick pattern of CsLi2Fe2Cl6 for copper Kα, from the GGA-PBE geometry in Alexandria.

Atomic structure:
```
data_CsLi2Fe2Cl6
_space_group_name_H-M_alt 'P -1'
_space_group_IT_number 2
_cell_length_a 6.990
_cell_length_b 7.400
_cell_length_c 8.320
_cell_angle_alpha 85.84
_cell_angle_beta 65.55
_cell_angle_gamma 61.84
loop_
_space_group_symop_operation_xyz
'x,y,z'
'-x,-y,-z'
loop_
_atom_site_label
_atom_site_fract_x
_atom_site_fract_y
_atom_site_fract_z
_atom_site_occupancy
Cs1 0.000 0.000 0.000 1
Li1 0.267 0.030 0.436 1
Fe1 0.055 0.530 0.358 1
Cl1 0.188 0.762 0.354 1
Cl2 0.296 0.216 0.188 1
Cl3 0.302 0.236 0.649 1
```

Most intense lines, 2θ = 10–80°, most intense first:
d [Å], I (rel.), hkl
5.544, 100.0, 1 0 0
4.552, 44.0, 0 1 1
3.476, 42.8, 0 1 -2
3.669, 30.0, 1 -1 1
2.923, 28.9, 2 2 0
2.913, 28.2, 2 0 2